Diffraction record for Hf2F. The X-ray diffraction stick pattern is theoretical, not measured: it uses a GGA-PBE-relaxed structure and Cu Ka.
No peak broadening, texture or thermal motion is included.

Main lines, most intense first (5° ≤ 2θ ≤ 70°):
index, 2θ/deg, d_spacing, intensity
1 1 1, 19.11, 4.645, 100
2 2 2, 38.78, 2.322, 81
3 1 1, 37.06, 2.426, 80
4 0 0, 45.08, 2.011, 36
4 4 0, 65.65, 1.422, 29
3 3 1, 49.38, 1.846, 26
5 1 1, 59.73, 1.548, 26
5 3 1, 69.07, 1.360, 20
2 2 0, 31.45, 2.844, 1

Structural model:
Unit cell a=8.045 b=8.045 c=8.045 alpha=90.00 beta=90.00 gamma=90.00
Space group Fd-3m (No. 227, origin choice 2)
Asymmetric unit:
Hf (0.000, 0.000, 0.000) x16
F (0.125, 0.125, 0.625) x8



Diffraction record for YReB4. The X-ray diffraction stick pattern is theoretical, not measured: it uses a GGA-PBE-relaxed structure and Cu Ka.
No peak broadening, texture or thermal motion is included.

Main lines, most intense first (5° ≤ 2θ ≤ 70°):
index, 2θ/deg, d_spacing, intensity
0 0 1, 24.66, 3.611, 100
0 4 1, 39.96, 2.256, 98
0 4 0, 30.94, 2.890, 80
2 3 1, 45.94, 1.975, 64
2 3 0, 38.13, 2.360, 47
1 1 0, 16.71, 5.306, 43
1 4 1, 42.86, 2.110, 39
1 4 0, 34.49, 2.600, 30
0 4 2, 60.46, 1.531, 24
0 0 2, 50.56, 1.805, 23
2 3 2, 65.05, 1.434, 20
1 2 0, 21.40, 4.152, 20

Structural model:
Unit cell a=5.973 b=11.553 c=3.611 alpha=90.00 beta=90.00 gamma=90.00
Space group Pbam (No. 55)
Asymmetric unit:
Y (0.126, 0.150, 0.000) x4
Re (0.132, 0.413, 0.000) x4
B (0.024, 0.692, 0.500) x4
B (0.114, 0.547, 0.500) x4
B (0.137, 0.968, 0.500) x4
B (0.213, 0.815, 0.500) x4



Diffraction record for Zr2Te3. The X-ray diffraction stick pattern is theoretical, not measured: it uses a GGA-PBE-relaxed structure and Cu Ka.
No peak broadening, texture or thermal motion is included.

Main lines, most intense first (5° ≤ 2θ ≤ 70°):
index, 2θ/deg, d_spacing, intensity
1 1 3, 28.81, 3.099, 100
2 -1 6, 36.97, 2.431, 62
3 0 0, 45.09, 2.011, 38
2 -1 9, 47.93, 1.898, 20
4 -2 3, 54.39, 1.687, 16
2 2 6, 59.68, 1.549, 15
2 2 9, 67.91, 1.380, 8
0 0 12, 54.01, 1.698, 7
0 0 6, 26.24, 3.396, 6
3 0 6, 52.92, 1.730, 5
0 0 9, 39.81, 2.265, 4
3 0 9, 61.70, 1.503, 4

Structural model:
Unit cell a=6.9650 b=6.9650 c=20.3741 alpha=90.00 beta=90.00 gamma=120.00
Space group R-3 (No. 148, hexagonal axes)
Asymmetric unit:
Zr (0.0000, 0.0000, 0.0000) x3
Zr (0.0000, 0.0000, 0.1604) x6
Zr (0.0000, 0.0000, 0.5000) x3
Te (0.0033, 0.6529, 0.9219) x18



Diffraction record for HoFeNi3B. The X-ray diffraction stick pattern is theoretical, not measured: it uses a GGA-PBE-relaxed structure and Cu Ka.
No peak broadening, texture or thermal motion is included.

Main lines, most intense first (5° ≤ 2θ ≤ 70°):
index, 2θ/deg, d_spacing, intensity
1 1 2, 44.59, 2.032, 100
1 0 2, 32.94, 2.719, 99
2 0 0, 41.78, 2.162, 79
2 1 2, 62.76, 1.481, 31
1 1 0, 35.97, 2.496, 31
1 0 0, 20.54, 4.324, 17
2 0 4, 69.09, 1.360, 17
1 1 4, 65.13, 1.432, 15
0 0 4, 52.32, 1.749, 13
0 0 3, 38.62, 2.332, 11
1 1 1, 38.28, 2.351, 9
2 0 1, 43.83, 2.066, 8

Structural model:
Unit cell a=4.9929 b=4.9929 c=6.9945 alpha=90.00 beta=90.00 gamma=120.00
Space group P6/mmm (No. 191)
Asymmetric unit:
Ho (0.0000, 0.0000, 0.0000) x1
Ho (0.0000, 0.0000, 0.5000) x1
Fe (0.3333, 0.6667, 0.0000) x2
Ni (0.0000, 0.5000, 0.2922) x6
B (0.3333, 0.6667, 0.5000) x2



Diffraction record for TbDySb2Te2. The X-ray diffraction stick pattern is theoretical, not measured: it uses a GGA-PBE-relaxed structure and Cu Ka.
No peak broadening, texture or thermal motion is included.

Main lines, most intense first (5° ≤ 2θ ≤ 70°):
index, 2θ/deg, d_spacing, intensity
1 1 1, 31.06, 2.879, 100
1 1 2, 35.41, 2.535, 94
1 0 3, 35.86, 2.504, 66
2 0 0, 42.19, 2.142, 64
0 0 3, 28.93, 3.086, 43
2 1 3, 56.54, 1.628, 36
2 0 3, 51.97, 1.760, 33
1 1 0, 29.49, 3.029, 27
2 2 0, 61.20, 1.515, 21
1 0 1, 22.87, 3.888, 19
1 0 5, 53.95, 1.700, 15
1 0 6, 64.15, 1.452, 14

Structural model:
Unit cell a=4.284 b=4.284 c=9.258 alpha=90.00 beta=90.00 gamma=90.00
Space group P4mm (No. 99)
Asymmetric unit:
Tb (0.000, 0.000, 0.000) x1
Dy (0.500, 0.500, 0.550) x1
Sb (0.000, 0.500, 0.275) x2
Te (0.000, 0.000, 0.650) x1
Te (0.500, 0.500, 0.898) x1



Diffraction record for ZnCo15. The X-ray diffraction stick pattern is theoretical, not measured: it uses a GGA-PBE-relaxed structure and Cu Ka.
No peak broadening, texture or thermal motion is included.

Main lines, most intense first (5° ≤ 2θ ≤ 70°):
index, 2θ/deg, d_spacing, intensity
2 0 12, 45.08, 2.011, 100
2 0 11, 43.77, 2.068, 46
2 1 0, 52.18, 1.753, 35
0 0 4, 8.57, 10.319, 13
0 0 23, 50.88, 1.795, 12
0 0 24, 53.26, 1.720, 11
2 1 1, 52.23, 1.751, 10
0 0 5, 10.72, 8.255, 10
2 0 10, 42.54, 2.125, 4
2 0 14, 47.95, 1.897, 3
2 1 2, 52.39, 1.747, 3
2 0 13, 46.48, 1.954, 3

Structural model:
Unit cell a=4.960 b=2.478 c=41.277 alpha=90.00 beta=90.00 gamma=90.00
Space group Pm (No. 6)
Asymmetric unit:
Zn (0.000, 0.000, 0.000) x1
Zn (0.250, 0.500, 0.354) x1
Co (0.000, 0.000, 0.571) x1
Co (0.000, 0.000, 0.656) x1
Co (0.000, 0.000, 0.740) x1
Co (0.000, 0.000, 0.825) x1
Co (0.000, 0.000, 0.910) x1
Co (0.001, 0.000, 0.486) x1
Co (0.248, 0.500, 0.868) x1
Co (0.250, 0.500, 0.443) x1
Co (0.250, 0.500, 0.528) x1
Co (0.250, 0.500, 0.613) x1
Co (0.250, 0.500, 0.698) x1
Co (0.250, 0.500, 0.783) x1
Co (0.251, 0.500, 0.953) x1
Co (0.499, 0.000, 0.486) x1
Co (0.500, 0.000, 0.571) x1
Co (0.500, 0.000, 0.655) x1
Co (0.500, 0.000, 0.741) x1
Co (0.500, 0.000, 0.825) x1
Co (0.500, 0.000, 0.911) x1
Co (0.500, 0.000, 0.993) x1
Co (0.503, 0.000, 0.401) x1
Co (0.749, 0.500, 0.953) x1
Co (0.750, 0.500, 0.359) x1
Co (0.750, 0.500, 0.443) x1
Co (0.750, 0.500, 0.528) x1
Co (0.750, 0.500, 0.613) x1
Co (0.750, 0.500, 0.698) x1
Co (0.750, 0.500, 0.783) x1
Co (0.752, 0.500, 0.868) x1
Co (0.997, 0.000, 0.401) x1